Starting from a DFT-relaxed cell (PBE, Alexandria), the powder XRD pattern of KU2O6 was simulated for Cu Kα.
Peak positions follow from Bragg's law for the DFT cell and can differ from measured ones.

Cell lengths 7.9189, 7.9189, 7.9189 Å; angles 60.00, 60.00, 60.00 degrees
Sites, in units of the cell vectors:
K: 0.1250 0.1250 0.1250
K: 0.8750 0.8750 0.8750
U: 0.0000 0.5000 0.5000
U: 0.5000 0.0000 0.5000
U: 0.5000 0.5000 0.0000
U: 0.5000 0.5000 0.5000
O: 0.1830 0.1830 0.5670
O: 0.1830 0.5670 0.1830
O: 0.1830 0.5670 0.5670
O: 0.4330 0.4330 0.8170
O: 0.4330 0.8170 0.4330
O: 0.4330 0.8170 0.8170
O: 0.5670 0.1830 0.1830
O: 0.5670 0.1830 0.5670
O: 0.5670 0.5670 0.1830
O: 0.8170 0.4330 0.4330
O: 0.8170 0.4330 0.8170
O: 0.8170 0.8170 0.4330

Most intense lines, 2θ from 10° to 90°, in order of rising 2θ:
13.70 deg, intensity 100
26.40 deg, intensity 90
27.59 deg, intensity 82
41.92 deg, intensity 32
45.84 deg, intensity 43
54.34 deg, intensity 39